For FeAu2NF, a GGA+U-relaxed structure gives the theoretical powder diffraction line list in this record (Cu Kα X-rays).
Lines closer than 0.1° are merged.

Main lines, sorted by position (2θ = 15–90°):
d 4.197, 2θ = 21.2°, I 49, hkl 0 0 1
d 3.037, 2θ = 29.4°, I 37, hkl 1 1 0
d 2.460, 2θ = 36.5°, I 100, hkl 1 1 1
d 2.147, 2θ = 42.1°, I 38, hkl 2 0 0
d 2.099, 2θ = 43.1°, I 18, hkl 0 0 2
d 1.912, 2θ = 47.6°, I 25, hkl 2 0 1
d 1.726, 2θ = 53.0°, I 16, hkl 1 1 2
d 1.518, 2θ = 61.0°, I 12, hkl 2 2 0
d 1.501, 2θ = 61.8°, I 24, hkl 2 0 2
d 1.292, 2θ = 73.3°, I 26, hkl 3 1 1
d 1.271, 2θ = 74.7°, I 12, hkl 1 1 3
d 1.230, 2θ = 77.6°, I 12, hkl 2 2 2

```
data_FeAu2NF
_chemical_formula_sum 'Fe1 Au2 N1 F1'
_space_group_name_H-M_alt 'P 4/m m m'
_space_group_IT_number 123
_space_group_name_Hall '-P 4 2'
_cell_length_a 4.2950
_cell_length_b 4.2950
_cell_length_c 4.1971
_cell_angle_alpha 90.00
_cell_angle_beta 90.00
_cell_angle_gamma 90.00
loop_
_atom_site_label
_atom_site_fract_x
_atom_site_fract_y
_atom_site_fract_z
Fe1 0.0000 0.0000 0.0000
Au1 0.0000 0.5000 0.5000
N1 0.0000 0.0000 0.5000
F1 0.5000 0.5000 0.0000
```